The following is a calculated powder diffractogram of Ti5Si4H. It was derived from a crystal structure in Alexandria, relaxed with GGA-PBE, using Cu Kα (weighted mean of Kα1 and Kα2).

Top 6 peaks for 2θ from 10° to 90°, most intense first:
d/Å  Position (°2θ)  I (rel.)
2.490  36.08  100
1.773  51.55  58
2.525  35.55  43
2.888  30.96  35
1.760  51.94  32
1.444  64.53  27

Structural model:
```
10
Lattice="-3.936 3.936 2.525 3.936 -3.936 2.525 3.936 3.936 -2.525" Properties=species:S:1:pos:R:3 pbc="T T T"
Ti 0.000 0.000 0.000
Ti 4.743 1.601 0.534
Ti 1.601 3.130 0.534
Ti 2.336 0.806 3.059
Ti -0.806 2.336 3.059
Si 5.520 -0.762 0.523
Si 2.353 0.762 0.523
Si -0.762 2.353 0.523
Si 0.762 5.520 0.523
H 0.000 0.000 3.111
```

***

The following is a calculated powder diffractogram of CdSnHPd4. It was derived from a crystal structure in Alexandria, relaxed with GGA-PBE, using Cu Kα (weighted mean of Kα1 and Kα2).

Top 6 peaks for 2θ from 10° to 90°, most intense first:
d/Å  Position (°2θ)  I (rel.)
2.185  41.33  100
2.608  34.38  75
1.991  45.56  55
1.508  61.50  35
2.309  39.01  34
1.183  81.30  27

Structural model:
```
14
Lattice="2.816 -6.926 0.000 2.816 6.926 0.000 0.000 0.000 5.631" Properties=species:S:1:pos:R:3 pbc="T T T"
Cd 2.816 5.547 4.223
Cd 2.816 -5.547 1.408
Sn 2.816 1.466 4.223
Sn 2.816 -1.466 1.408
H 2.816 3.571 1.408
H 2.816 -3.571 4.223
Pd 1.408 3.463 0.000
Pd 1.408 3.463 2.816
Pd 2.816 5.597 1.408
Pd 2.816 1.177 1.408
Pd 1.408 -3.463 0.000
Pd 1.408 -3.463 2.816
Pd 2.816 -1.177 4.223
Pd 2.816 -5.597 4.223
```

***

The following is a calculated powder diffractogram of Ac2La12Pr5. It was derived from a crystal structure in Alexandria, relaxed with GGA-PBE, using Cu Kα (weighted mean of Kα1 and Kα2).

Top 6 peaks for 2θ from 10° to 90°, most intense first:
d/Å  Position (°2θ)  I (rel.)
2.927  30.54  100
3.012  29.66  54
2.831  31.61  51
3.408  26.15  25
3.046  29.32  24
3.110  28.70  20

Structural model:
```
19
Lattice="9.445 -6.023 0.000 9.445 6.023 0.000 -1.513 0.000 6.273" Properties=species:S:1:pos:R:3 pbc="T T T"
Ac 9.445 3.368 0.000
Ac 9.445 -3.368 0.000
La 4.447 2.898 4.996
La 0.938 0.000 6.176
La 6.865 2.959 2.450
La 10.511 2.959 3.823
La 7.306 0.000 4.550
La 12.930 2.898 1.277
La 4.447 -2.898 4.996
La 10.070 0.000 1.722
La 6.865 -2.959 2.450
La 10.511 -2.959 3.823
La 16.438 0.000 0.097
La 12.930 -2.898 1.277
Pr -0.756 0.000 3.136
Pr 3.191 0.000 3.386
Pr 5.907 0.000 0.944
Pr 11.470 0.000 5.328
Pr 14.185 0.000 2.887
```